Structure and simulated X-ray diffraction stick pattern of CaAcNO (a cell relaxed with GGA-PBE; CuKα).
Lines closer than 0.1° are merged.

Atomic structure:
```
data_CaAcNO
_space_group_name_H-M_alt 'R 3 m'
_space_group_IT_number 160
_space_group_name_Hall 'R 3 -2"'
_cell_length_a 3.7437
_cell_length_b 3.7437
_cell_length_c 17.8962
_cell_angle_alpha 90.00
_cell_angle_beta 90.00
_cell_angle_gamma 120.00
loop_
_atom_site_label
_atom_site_type_symbol
_atom_site_fract_x
_atom_site_fract_y
_atom_site_fract_z
Ca1 Ca 0.0000 0.0000 0.0000
Ac1 Ac 0.0000 0.0000 0.5049
N1 N 0.0000 0.0000 0.2472
O1 O 0.0000 0.0000 0.7446
```

Largest 12 diffraction maxima, most intense first, 2θ = 10–90°:
2θ/deg, I_rel, (hkl)
34.2, 1000, 1 0 4
29.3, 930, 0 1 2
14.9, 850, 0 0 3
28.0, 613, 1 0 1
48.6, 363, 1 1 0
49.5, 337, 0 1 8
37.4, 301, 0 1 5
30.0, 296, 0 0 6
58.2, 293, 1 1 6
51.1, 248, 1 1 3
60.8, 182, 0 2 4
45.2, 174, 1 0 7


Structure and simulated X-ray diffraction stick pattern of Ca2AcWN4 (a cell relaxed with GGA-PBE; CuKα).
Lines closer than 0.1° are merged.

Atomic structure:
```
data_Ca2AcWN4
_space_group_name_H-M_alt 'C m c m'
_space_group_IT_number 63
_space_group_name_Hall '-C 2c 2'
_cell_length_a 3.5376
_cell_length_b 12.4627
_cell_length_c 12.0276
_cell_angle_alpha 90.00
_cell_angle_beta 90.00
_cell_angle_gamma 90.00
loop_
_atom_site_label
_atom_site_type_symbol
_atom_site_fract_x
_atom_site_fract_y
_atom_site_fract_z
Ca1 Ca 0.0000 0.1233 0.0329
Ac1 Ac 0.0000 0.4161 0.2500
W1 W 0.0000 0.3235 0.7500
N1 N 0.0000 0.0946 0.2500
N2 N 0.0000 0.2314 0.6312
N3 N 0.0000 0.5000 0.0000
```

Largest 12 diffraction maxima, most intense first, 2θ = 10–90°:
2θ/deg, I_rel, (hkl)
14.7, 1000, 0 0 2
29.7, 844, 0 0 4
30.2, 654, 1 1 2
36.5, 547, 0 4 3
34.1, 469, 1 3 1
60.7, 231, 2 0 4
26.2, 222, 1 1 0
40.0, 191, 1 1 4
40.3, 157, 1 3 3
50.9, 153, 1 3 5
45.2, 148, 1 5 1
47.8, 136, 0 4 5


Structure and simulated X-ray diffraction stick pattern of Ca2AcZnN (a cell relaxed with GGA-PBE; CuKα).
Lines closer than 0.1° are merged.

Atomic structure:
```
data_Ca2AcZnN
_space_group_name_H-M_alt 'I 4 c m'
_space_group_IT_number 108
_space_group_name_Hall 'I 4 -2c'
_cell_length_a 6.7751
_cell_length_b 6.7751
_cell_length_c 11.2315
_cell_angle_alpha 90.00
_cell_angle_beta 90.00
_cell_angle_gamma 90.00
loop_
_atom_site_label
_atom_site_type_symbol
_atom_site_fract_x
_atom_site_fract_y
_atom_site_fract_z
Ca1 Ca 0.2100 0.2900 0.0000
Ac1 Ac 0.0000 0.0000 0.2399
Zn1 Zn 0.0000 0.5000 0.2593
N1 N 0.0000 0.0000 0.0237
```

Largest 12 diffraction maxima, most intense first, 2θ = 10–90°:
2θ/deg, I_rel, (hkl)
30.8, 1000, 2 0 2
18.5, 341, 1 1 0
15.8, 338, 0 0 2
37.5, 327, 2 2 0
26.3, 320, 2 0 0
24.4, 294, 1 1 2
31.9, 269, 0 0 4
50.1, 268, 2 2 4
63.6, 208, 4 2 2
41.8, 178, 2 0 4
41.0, 175, 2 2 2
56.1, 175, 2 0 6